(1)
LiCu3F10: computed X-ray diffraction stick pattern (Cu Kα, 1.54184 Å), based on the PBE geometry in the Materials Project.
Lines closer than 0.1° are merged.

Structural model:
a = 3.779 Å, b = 7.226 Å, c = 14.384 Å
α = 90.00°, β = 90.24°, γ = 90.00°
Space group Pc (No. 7)
Inequivalent atoms, fractional coordinates:
Li1 0.000 0.083 0.000 x2
Cu1 0.018 0.090 0.202 x2
Cu2 0.021 0.404 0.600 x2
Cu3 0.024 0.498 0.853 x2
F1 0.015 0.264 0.105 x2
F2 0.016 0.098 0.600 x2
F3 0.019 0.070 0.796 x2
F4 0.021 0.272 0.300 x2
F5 0.022 0.373 0.473 x2
F6 0.023 0.404 0.727 x2
F7 0.029 0.274 0.915 x2
F8 0.518 0.089 0.197 x2
F9 0.521 0.429 0.596 x2
F10 0.524 0.494 0.853 x2

The 6 most intense peaks (2θ from 10° to 90°), in order of rising 2θ:
| 2θ/deg | d [Å] | intensity |
| --- | --- | --- |
| 12.28 | 7.209 | 80.8 |
| 17.40 | 5.098 | 40.9 |
| 23.54 | 3.779 | 100.0 |
| 25.42 | 3.504 | 41.9 |
| 27.70 | 3.220 | 55.1 |
| 48.16 | 1.889 | 24.8 |

(2)
MnCo3: computed X-ray diffraction stick pattern (Cu Kα, 1.54184 Å), based on the PBE geometry in the Materials Project.
Lines closer than 0.1° are merged.

Structural model:
a = 4.9303 Å, b = 4.9303 Å, c = 3.9508 Å
α = 90.00°, β = 90.00°, γ = 120.00°
Space group P6_3/mmc (No. 194)
Inequivalent atoms, fractional coordinates:
Mn1 0.3333 0.6667 0.2500 x2
Co1 0.1679 0.3357 0.7500 x6

The 6 most intense peaks (2θ from 10° to 90°), in order of rising 2θ:
| 2θ/deg | d [Å] | intensity |
| --- | --- | --- |
| 42.34 | 2.135 | 25.4 |
| 45.94 | 1.975 | 26.3 |
| 48.47 | 1.878 | 100.0 |
| 64.24 | 1.450 | 13.2 |
| 77.43 | 1.233 | 14.7 |
| 86.91 | 1.121 | 16.2 |

(3)
Fe3Ag: computed X-ray diffraction stick pattern (Cu Kα, 1.54184 Å), based on the PBE geometry in the Materials Project.
Lines closer than 0.1° are merged.

Structural model:
a = 3.776 Å, b = 3.776 Å, c = 3.776 Å
α = 90.00°, β = 90.00°, γ = 90.00°
Space group Pm-3m (No. 221)
Inequivalent atoms, fractional coordinates:
Fe1 0.000 0.000 0.500 x3
Ag1 0.500 0.500 0.500 x1

The 6 most intense peaks (2θ from 10° to 90°), in order of rising 2θ:
| 2θ/deg | d [Å] | intensity |
| --- | --- | --- |
| 23.56 | 3.776 | 11.2 |
| 33.56 | 2.670 | 9.3 |
| 41.42 | 2.180 | 100.0 |
| 48.20 | 1.888 | 47.0 |
| 70.54 | 1.335 | 27.5 |
| 85.24 | 1.139 | 32.5 |

(4)
Mn3Al10: computed X-ray diffraction stick pattern (Cu Kα, 1.54184 Å), based on the PBE geometry in the Materials Project.
Lines closer than 0.1° are merged.

Structural model:
a = 7.5207 Å, b = 7.5207 Å, c = 7.7890 Å
α = 90.00°, β = 90.00°, γ = 120.00°
Space group P6_3/mmc (No. 194)
Inequivalent atoms, fractional coordinates:
Mn1 0.1210 0.2421 0.2500 x6
Al1 0.0000 0.0000 0.0000 x2
Al2 0.0862 0.5431 0.2500 x6
Al3 0.2002 0.4003 0.5649 x12

The 6 most intense peaks (2θ from 10° to 90°), in order of rising 2θ:
| 2θ/deg | d [Å] | intensity |
| --- | --- | --- |
| 13.60 | 6.513 | 79.8 |
| 37.28 | 2.412 | 33.2 |
| 43.26 | 2.091 | 100.0 |
| 43.49 | 2.081 | 85.0 |
| 44.64 | 2.030 | 63.1 |
| 75.05 | 1.266 | 27.2 |

(5)
ScCd7: computed X-ray diffraction stick pattern (Cu Kα, 1.54184 Å), based on the PBE geometry in the Materials Project.
Lines closer than 0.1° are merged.

Structural model:
a = 7.448 Å, b = 10.195 Å, c = 9.434 Å
α = 90.00°, β = 90.00°, γ = 90.00°
Space group Cmcm (No. 63)
Inequivalent atoms, fractional coordinates:
Sc1 0.000 0.022 0.250 x4
Cd1 0.000 0.209 0.517 x8
Cd2 0.000 0.415 0.750 x4
Cd3 0.203 0.300 0.250 x8
Cd4 0.212 0.500 0.000 x8

The 6 most intense peaks (2θ from 10° to 90°), in order of rising 2θ:
| 2θ/deg | d [Å] | intensity |
| --- | --- | --- |
| 31.22 | 2.865 | 14.8 |
| 34.69 | 2.586 | 23.7 |
| 35.40 | 2.536 | 100.0 |
| 36.52 | 2.461 | 13.9 |
| 38.16 | 2.359 | 32.5 |
| 72.07 | 1.310 | 21.6 |

(6)
Zr4CdO9: computed X-ray diffraction stick pattern (Cu Kα, 1.54184 Å), based on the PBE geometry in the Materials Project.
Lines closer than 0.1° are merged.

Structural model:
a = 33.586 Å, b = 3.506 Å, c = 6.113 Å
α = 90.00°, β = 91.06°, γ = 90.00°
Space group C2/m (No. 12)
Inequivalent atoms, fractional coordinates:
Zr1 0.088 0.000 0.189 x4
Zr2 0.106 0.500 0.689 x4
Zr3 0.192 0.000 0.906 x4
Zr4 0.207 0.500 0.390 x4
Cd1 0.000 0.000 0.500 x2
Cd2 0.000 0.500 0.000 x2
O1 0.026 0.000 0.204 x4
O2 0.069 0.500 0.960 x4
O3 0.077 0.000 0.569 x4
O4 0.112 0.500 0.328 x4
O5 0.129 0.000 0.914 x4
O6 0.169 0.500 0.673 x4
O7 0.182 0.000 0.267 x4
O8 0.216 0.500 0.030 x4
O9 0.230 0.000 0.622 x4

The 6 most intense peaks (2θ from 10° to 90°), in order of rising 2θ:
| 2θ/deg | d [Å] | intensity |
| --- | --- | --- |
| 26.54 | 3.358 | 60.3 |
| 30.53 | 2.928 | 100.0 |
| 30.96 | 2.889 | 43.2 |
| 34.78 | 2.579 | 28.5 |
| 46.33 | 1.960 | 32.0 |
| 51.94 | 1.760 | 29.9 |

(7)
CaMg6SiO8: computed X-ray diffraction stick pattern (Cu Kα, 1.54184 Å), based on the PBE geometry in the Materials Project.
Lines closer than 0.1° are merged.

Structural model:
a = 4.409 Å, b = 4.409 Å, c = 8.806 Å
α = 90.00°, β = 90.00°, γ = 90.00°
Space group P4/mmm (No. 123)
Inequivalent atoms, fractional coordinates:
Ca1 0.000 0.000 0.000 x1
Mg1 0.000 0.000 0.500 x1
Mg2 0.000 0.500 0.261 x4
Mg3 0.500 0.500 0.500 x1
Si1 0.500 0.500 0.000 x1
O1 0.000 0.000 0.265 x2
O2 0.000 0.500 0.000 x2
O3 0.000 0.500 0.500 x2
O4 0.500 0.500 0.264 x2

The 6 most intense peaks (2θ from 10° to 90°), in order of rising 2θ:
| 2θ/deg | d [Å] | intensity |
| --- | --- | --- |
| 35.27 | 2.544 | 14.2 |
| 40.96 | 2.204 | 100.0 |
| 59.31 | 1.558 | 56.4 |
| 70.92 | 1.329 | 8.8 |
| 74.60 | 1.272 | 16.8 |
| 88.76 | 1.102 | 5.3 |

(8)
LaMg6Ga: computed X-ray diffraction stick pattern (Cu Kα, 1.54184 Å), based on the PBE geometry in the Materials Project.
Lines closer than 0.1° are merged.

Structural model:
a = 5.206 Å, b = 6.294 Å, c = 12.036 Å
α = 90.00°, β = 90.00°, γ = 90.00°
Space group Amm2 (No. 38)
Inequivalent atoms, fractional coordinates:
La1 0.000 0.000 0.000 x2
Mg1 0.000 0.249 0.247 x4
Mg2 0.500 0.000 0.165 x2
Mg3 0.500 0.000 0.643 x2
Mg4 0.500 0.240 0.400 x4
Ga1 0.000 0.000 0.477 x2

The 6 most intense peaks (2θ from 10° to 90°), in order of rising 2θ:
| 2θ/deg | d [Å] | intensity |
| --- | --- | --- |
| 14.72 | 6.018 | 52.4 |
| 17.03 | 5.206 | 40.0 |
| 22.58 | 3.937 | 41.8 |
| 32.10 | 2.789 | 38.6 |
| 34.44 | 2.604 | 100.0 |
| 36.55 | 2.458 | 97.0 |